For Cs2Mn2HgI6, the PBE geometry in Alexandria gives the calculated powder diffraction line list in this record (Cu Ka).
Peak positions follow from Bragg's law for the DFT cell and can differ from measured ones.

Peak list (6 most intense, 10 to 90 degrees two-theta, sorted by position)
| 2theta | d [Å] | I_rel |
| --- | --- | --- |
| 12.0 | 7.347 | 588 |
| 15.7 | 5.656 | 493 |
| 25.6 | 3.474 | 942 |
| 28.8 | 3.097 | 1000 |
| 29.1 | 3.069 | 722 |
| 31.6 | 2.829 | 441 |

Cell and atoms:
a = 9.115 Å, b = 9.209 Å, c = 9.711 Å
α = 62.34°, β = 62.02°, γ = 76.24°
Fractional coordinates of all 11 atoms:
Cs  0.235  0.233  0.104
Cs  0.765  0.767  0.896
Mn  0.423  0.423  0.529
Mn  0.577  0.577  0.471
Hg  0.000  0.000  0.000
I  0.125  0.492  0.708
I  0.439  0.443  0.251
I  0.498  0.129  0.701
I  0.502  0.871  0.299
I  0.561  0.557  0.749
I  0.875  0.508  0.292